Starting from a structure optimized by DFT (PBE+U), the powder diffractogram of Li7Mn5O12 was calculated for Cu Kα.
Kinematic intensities with the Lorentz-polarization factor, no thermal factor.

abc: 5.0877 6.0311 7.6610
angles: 81.62 77.23 76.62
Space group P1 (No. 1)
Inequivalent atoms, fractional coordinates:
Li 0.0000 0.0000 0.0000
Li 0.0003 0.1451 0.3477
Li 0.4898 0.1634 0.8362
Li 0.9657 0.3334 0.6750
Li 0.9699 0.5236 0.9911
Li 0.9787 0.8426 0.6740
Li 0.9846 0.6676 0.3385
Mn 0.4804 0.3375 0.1676
Mn 0.4810 0.6675 0.8385
Mn 0.4814 0.8437 0.1687
Mn 0.4837 0.4920 0.5111
Mn 0.4906 0.9987 0.5088
O 0.2486 0.6870 0.0768
O 0.2505 0.3468 0.4137
O 0.2527 0.5080 0.7526
O 0.2586 0.8431 0.4094
O 0.2688 0.1417 0.1021
O 0.2702 0.9633 0.7516
O 0.6890 0.5317 0.2527
O 0.6965 0.3691 0.9271
O 0.7081 0.8265 0.9313
O 0.7170 0.6472 0.6027
O 0.7180 0.9888 0.2571
O 0.7282 0.1557 0.5790

Principal peaks in the range 2θ from 10° to 80°, low angle first:
Position (°2θ)	intensity
18.3	100
36.3	23
40.9	33
44.1	27
44.3	27
61.7	24